[1]
Simulated powder X-ray diffraction pattern
Compound: La3AgAu2
Radiation: Cu Ka
Structure: a DFT-relaxed cell (PBE, Alexandria)

Atomic structure:
```
data_La3AgAu2
_cell_length_a 5.3768
_cell_length_b 5.3768
_cell_length_c 13.0853
_cell_angle_alpha 90.00
_cell_angle_beta 90.00
_cell_angle_gamma 120.00
_symmetry_space_group_name_H-M 'P -3 m 1'
_symmetry_Int_Tables_number 164
_symmetry_space_group_name_Hall '-P 3 2"'
loop_
_atom_site_label
_atom_site_type_symbol
_atom_site_fract_x
_atom_site_fract_y
_atom_site_fract_z
La1 La 0.0000 0.0000 0.2461
La2 La 0.3333 0.6667 0.4183
La3 La 0.3333 0.6667 0.9227
Ag1 Ag 0.3333 0.6667 0.6710
Au1 Au 0.0000 0.0000 0.0000
Au2 Au 0.0000 0.0000 0.5000
Au3 Au 0.3333 0.6667 0.1755
```

Largest 10 diffraction maxima, by intensity, 2θ = 5–70°:
h k l  2θ (°)  I/Imax
1 1 0  33.33  100
1 0 4  33.48  97
3 0 0  59.62  56
0 2 4  47.96  36
0 1 8  59.94  18
2 2 0  69.99  12
1 0 1  20.24  4
0 1 2  23.45  3
0 0 1  6.76  2
0 2 1  39.34  2



[2]
Simulated powder X-ray diffraction pattern
Compound: La4AgAu
Radiation: Cu Ka
Structure: a DFT-relaxed cell (PBE, Alexandria)

Atomic structure:
```
data_La4AgAu
_cell_length_a 7.539
_cell_length_b 7.539
_cell_length_c 6.559
_cell_angle_alpha 90.00
_cell_angle_beta 90.00
_cell_angle_gamma 90.00
_symmetry_space_group_name_H-M 'P 4/m c c'
_symmetry_Int_Tables_number 124
_symmetry_space_group_name_Hall '-P 4 2c'
loop_
_atom_site_label
_atom_site_type_symbol
_atom_site_fract_x
_atom_site_fract_y
_atom_site_fract_z
La1 La 0.163 0.329 0.000
Ag1 Ag 0.500 0.500 0.250
Au1 Au 0.000 0.000 0.250
```

Largest 10 diffraction maxima, by intensity, 2θ = 5–70°:
h k l  2θ (°)  I/Imax
2 1 1  29.79  100
2 0 2  36.31  60
3 1 0  37.73  53
1 1 2  32.04  48
3 3 2  59.13  31
2 1 3  49.70  24
2 2 0  33.62  22
4 1 1  51.91  22
1 1 0  16.63  18
3 1 4  69.58  17



[3]
Simulated powder X-ray diffraction pattern
Compound: La4Ag2Au
Radiation: Cu Ka
Structure: a DFT-relaxed cell (PBE, Alexandria)

Atomic structure:
```
data_La4Ag2Au
_cell_length_a 5.3449
_cell_length_b 5.3449
_cell_length_c 26.0617
_cell_angle_alpha 90.00
_cell_angle_beta 90.00
_cell_angle_gamma 120.00
_symmetry_space_group_name_H-M 'R -3 m'
_symmetry_Int_Tables_number 166
_symmetry_space_group_name_Hall '-R 3 2"'
loop_
_atom_site_label
_atom_site_type_symbol
_atom_site_fract_x
_atom_site_fract_y
_atom_site_fract_z
La1 La 0.0000 0.0000 0.1237
La2 La 0.0000 0.0000 0.3744
Ag1 Ag 0.0000 0.0000 0.2465
Au1 Au 0.0000 0.0000 0.0000
```

Largest 10 diffraction maxima, by intensity, 2θ = 5–70°:
h k l  2θ (°)  I/Imax
1 1 0  33.53  100
0 1 8  33.64  98
3 0 0  60.00  55
2 0 8  48.23  35
0 0 3  10.18  19
1 0 16  60.23  18
1 0 1  19.48  17
0 1 5  25.74  9
1 1 9  46.22  7
1 1 3  35.13  7



[4]
Simulated powder X-ray diffraction pattern
Compound: La2Ag5Au
Radiation: Cu Ka
Structure: a DFT-relaxed cell (PBE, Alexandria)

Atomic structure:
```
data_La2Ag5Au
_cell_length_a 4.342
_cell_length_b 17.440
_cell_length_c 10.046
_cell_angle_alpha 90.00
_cell_angle_beta 90.00
_cell_angle_gamma 90.00
_symmetry_space_group_name_H-M 'C m c m'
_symmetry_Int_Tables_number 63
_symmetry_space_group_name_Hall '-C 2c 2'
loop_
_atom_site_label
_atom_site_type_symbol
_atom_site_fract_x
_atom_site_fract_y
_atom_site_fract_z
La1 La 0.000 0.000 0.000
La2 La 0.000 0.187 0.250
Ag1 Ag 0.000 0.197 0.610
Ag2 Ag 0.000 0.358 0.526
Ag3 Ag 0.000 0.388 0.250
Au1 Au 0.000 0.453 0.750
```

Largest 10 diffraction maxima, by intensity, 2θ = 5–70°:
h k l  2θ (°)  I/Imax
1 3 2  31.28  100
1 1 3  34.19  77
1 5 0  32.94  73
2 0 0  41.60  52
0 6 3  41.12  43
1 5 3  42.83  42
0 0 4  35.73  34
1 1 2  27.63  33
2 6 3  59.93  28
0 2 4  37.26  24



[5]
Simulated powder X-ray diffraction pattern
Compound: LaAgAu4
Radiation: Cu Ka
Structure: a DFT-relaxed cell (PBE, Alexandria)

Atomic structure:
```
data_LaAgAu4
_cell_length_a 4.7607
_cell_length_b 4.7607
_cell_length_c 6.6357
_cell_angle_alpha 90.00
_cell_angle_beta 90.00
_cell_angle_gamma 120.00
_symmetry_space_group_name_H-M 'P 6/m m m'
_symmetry_Int_Tables_number 191
_symmetry_space_group_name_Hall '-P 6 2'
loop_
_atom_site_label
_atom_site_type_symbol
_atom_site_fract_x
_atom_site_fract_y
_atom_site_fract_z
La1 La 0.0000 0.0000 0.0000
Ag1 Ag 0.0000 0.0000 0.5000
Au1 Au 0.3333 0.6667 0.2769
```

Largest 10 diffraction maxima, by intensity, 2θ = 5–70°:
h k l  2θ (°)  I/Imax
1 1 0  37.79  100
1 0 2  34.70  90
2 0 2  52.24  28
2 1 2  66.26  27
1 1 2  46.98  25
1 1 4  69.00  24
0 0 2  26.87  18
3 0 0  68.24  18
1 1 3  56.82  10
0 0 4  55.38  8



[6]
Simulated powder X-ray diffraction pattern
Compound: Li2LaAg2Au
Radiation: Cu Ka
Structure: a DFT-relaxed cell (PBE, Alexandria)

Atomic structure:
```
data_Li2LaAg2Au
_cell_length_a 4.785
_cell_length_b 4.785
_cell_length_c 5.801
_cell_angle_alpha 90.00
_cell_angle_beta 90.00
_cell_angle_gamma 90.00
_symmetry_space_group_name_H-M 'P 4/m m m'
_symmetry_Int_Tables_number 123
_symmetry_space_group_name_Hall '-P 4 2'
loop_
_atom_site_label
_atom_site_type_symbol
_atom_site_fract_x
_atom_site_fract_y
_atom_site_fract_z
Li1 Li 0.000 0.500 0.000
La1 La 0.000 0.000 0.500
Ag1 Ag 0.500 0.500 0.260
Au1 Au 0.000 0.000 0.000
```

Largest 10 diffraction maxima, by intensity, 2θ = 5–70°:
h k l  2θ (°)  I/Imax
1 1 0  26.34  100
1 0 2  36.22  90
2 1 2  53.19  59
2 0 0  37.60  42
3 1 0  61.26  18
3 0 2  66.96  15
2 2 0  54.22  14
1 0 0  18.54  8
1 0 1  24.11  4
0 0 4  64.22  4



[7]
Simulated powder X-ray diffraction pattern
Compound: La2AgAuO5
Radiation: Cu Ka
Structure: a DFT-relaxed cell (PBE, Alexandria)

Atomic structure:
```
data_La2AgAuO5
_cell_length_a 6.994
_cell_length_b 6.994
_cell_length_c 5.887
_cell_angle_alpha 90.00
_cell_angle_beta 90.00
_cell_angle_gamma 90.00
_symmetry_space_group_name_H-M 'P 4/m b m'
_symmetry_Int_Tables_number 127
_symmetry_space_group_name_Hall '-P 4 2ab'
loop_
_atom_site_label
_atom_site_type_symbol
_atom_site_fract_x
_atom_site_fract_y
_atom_site_fract_z
La1 La 0.180 0.320 0.000
Ag1 Ag 0.000 0.000 0.500
Au1 Au 0.000 0.500 0.500
O1 O 0.000 0.000 0.000
O2 O 0.135 0.635 0.246
```

Largest 10 diffraction maxima, by intensity, 2θ = 5–70°:
h k l  2θ (°)  I/Imax
2 0 1  29.72  100
0 0 2  30.37  30
2 2 0  36.33  26
2 1 1  32.41  26
2 2 2  48.06  23
2 1 2  42.16  20
2 0 3  53.55  19
1 1 0  17.94  16
3 1 1  43.72  15
4 1 2  63.31  12



[8]
Simulated powder X-ray diffraction pattern
Compound: Li2Ag15Au2
Radiation: Cu Ka
Structure: a DFT-relaxed cell (PBE, Alexandria)

Atomic structure:
```
data_Li2Ag15Au2
_cell_length_a 9.4702
_cell_length_b 9.4702
_cell_length_c 14.3573
_cell_angle_alpha 90.00
_cell_angle_beta 90.00
_cell_angle_gamma 120.00
_symmetry_space_group_name_H-M 'R -3 m'
_symmetry_Int_Tables_number 166
_symmetry_space_group_name_Hall '-R 3 2"'
loop_
_atom_site_label
_atom_site_type_symbol
_atom_site_fract_x
_atom_site_fract_y
_atom_site_fract_z
Li1 Li 0.0000 0.0000 0.0989
Ag1 Ag 0.0000 0.3269 0.0000
Ag2 Ag 0.0000 0.5000 0.5000
Ag3 Ag 0.0013 0.5006 0.8369
Au1 Au 0.0000 0.0000 0.2832
```

Largest 10 diffraction maxima, by intensity, 2θ = 5–70°:
h k l  2θ (°)  I/Imax
3 0 3  37.90  100
2 2 3  42.60  57
2 2 0  38.01  38
0 1 2  16.41  31
1 1 6  42.32  31
3 0 0  32.76  27
0 0 6  37.59  27
6 0 0  68.66  23
3 3 3  61.90  22
1 4 6  65.08  16



[9]
Simulated powder X-ray diffraction pattern
Compound: LiAg4Au8
Radiation: Cu Ka
Structure: a DFT-relaxed cell (PBE, Alexandria)

Atomic structure:
```
data_LiAg4Au8
_cell_length_a 4.010
_cell_length_b 4.085
_cell_length_c 15.056
_cell_angle_alpha 90.00
_cell_angle_beta 90.00
_cell_angle_gamma 90.00
_symmetry_space_group_name_H-M 'P m m 2'
_symmetry_Int_Tables_number 25
_symmetry_space_group_name_Hall 'P 2 -2'
loop_
_atom_site_label
_atom_site_type_symbol
_atom_site_fract_x
_atom_site_fract_y
_atom_site_fract_z
Li1 Li 0.000 0.000 0.000
Ag1 Ag 0.000 0.000 0.734
Ag2 Ag 0.000 0.500 0.302
Ag3 Ag 0.500 0.000 0.590
Ag4 Ag 0.500 0.500 0.145
Au1 Au 0.000 0.000 0.167
Au2 Au 0.000 0.000 0.446
Au3 Au 0.000 0.500 0.591
Au4 Au 0.000 0.500 0.878
Au5 Au 0.500 0.000 0.302
Au6 Au 0.500 0.000 0.879
Au7 Au 0.500 0.500 0.447
Au8 Au 0.500 0.500 0.732
```

Largest 10 diffraction maxima, by intensity, 2θ = 5–70°:
h k l  2θ (°)  I/Imax
1 1 3  36.13  100
1 1 4  39.56  68
0 0 1  5.87  62
0 0 7  42.01  28
0 2 0  44.35  25
2 0 0  45.23  24
0 2 7  62.74  17
2 0 7  63.43  17
2 2 0  65.21  16
0 0 2  11.76  13



[10]
Simulated powder X-ray diffraction pattern
Compound: LiAg5Au5
Radiation: Cu Ka
Structure: a DFT-relaxed cell (PBE, Alexandria)

Atomic structure:
```
data_LiAg5Au5
_cell_length_a 5.309
_cell_length_b 5.447
_cell_length_c 7.175
_cell_angle_alpha 100.51
_cell_angle_beta 95.89
_cell_angle_gamma 95.97
_symmetry_space_group_name_H-M 'P -1'
_symmetry_Int_Tables_number 2
_symmetry_space_group_name_Hall '-P 1'
loop_
_atom_site_label
_atom_site_type_symbol
_atom_site_fract_x
_atom_site_fract_y
_atom_site_fract_z
Li1 Li 0.000 0.000 0.000
Ag1 Ag 0.000 0.500 0.000
Ag2 Ag 0.059 0.222 0.635
Ag3 Ag 0.481 0.233 0.917
Au1 Au 0.212 0.751 0.727
Au2 Au 0.319 0.431 0.327
Au3 Au 0.500 0.000 0.500
```

Largest 10 diffraction maxima, by intensity, 2θ = 5–70°:
h k l  2θ (°)  I/Imax
-1 2 1  39.80  100
2 -1 1  38.91  78
0 1 -3  39.02  76
1 1 2  40.03  76
2 0 -2  40.36  72
1 2 -1  39.14  72
0 0 1  12.65  42
2 0 1  38.17  30
-1 1 4  58.69  27
2 1 0  40.28  26



[11]
Simulated powder X-ray diffraction pattern
Compound: LiAg5Au
Radiation: Cu Ka
Structure: a DFT-relaxed cell (PBE, Alexandria)

Atomic structure:
```
data_LiAg5Au
_cell_length_a 7.414
_cell_length_b 7.429
_cell_length_c 7.511
_cell_angle_alpha 90.00
_cell_angle_beta 90.00
_cell_angle_gamma 90.00
_symmetry_space_group_name_H-M 'I m m 2'
_symmetry_Int_Tables_number 44
_symmetry_space_group_name_Hall 'I 2 -2'
loop_
_atom_site_label
_atom_site_type_symbol
_atom_site_fract_x
_atom_site_fract_y
_atom_site_fract_z
Li1 Li 0.000 0.000 0.000
Ag1 Ag 0.000 0.186 0.318
Ag2 Ag 0.000 0.500 0.505
Ag3 Ag 0.184 0.500 0.820
Au1 Au 0.000 0.500 0.135
```

Largest 10 diffraction maxima, by intensity, 2θ = 5–70°:
h k l  2θ (°)  I/Imax
1 0 1  16.80  100
1 1 0  16.89  81
1 3 0  38.33  80
2 0 0  23.98  57
2 2 2  42.00  48
1 2 3  45.36  48
0 1 3  37.92  46
2 3 1  45.69  38
3 1 2  45.60  38
2 1 1  29.43  29



[12]
Simulated powder X-ray diffraction pattern
Compound: Li2AgAu5
Radiation: Cu Ka
Structure: a DFT-relaxed cell (PBE, Alexandria)

Atomic structure:
```
data_Li2AgAu5
_cell_length_a 8.182
_cell_length_b 7.988
_cell_length_c 5.781
_cell_angle_alpha 90.00
_cell_angle_beta 134.55
_cell_angle_gamma 90.00
_symmetry_space_group_name_H-M 'C 1 2/m 1'
_symmetry_Int_Tables_number 12
_symmetry_space_group_name_Hall '-C 2y'
loop_
_atom_site_label
_atom_site_type_symbol
_atom_site_fract_x
_atom_site_fract_y
_atom_site_fract_z
Li1 Li 0.250 0.250 0.000
Ag1 Ag 0.000 0.000 0.000
Au1 Au 0.000 0.000 0.500
Au2 Au 0.000 0.500 0.000
Au3 Au 0.000 0.500 0.500
Au4 Au 0.250 0.250 0.500
```

Largest 10 diffraction maxima, by intensity, 2θ = 5–70°:
h k l  2θ (°)  I/Imax
2 2 0  38.22  100
2 2 -2  38.45  98
0 0 1  21.57  37
0 0 2  43.96  34
4 0 -2  44.29  33
0 4 0  45.42  31
2 2 -1  31.30  30
0 4 2  65.05  21
4 4 -2  65.30  21
2 0 -1  21.73  15



[13]
Simulated powder X-ray diffraction pattern
Compound: LiAg5Au4
Radiation: Cu Ka
Structure: a DFT-relaxed cell (PBE, Alexandria)

Atomic structure:
```
data_LiAg5Au4
_cell_length_a 5.075
_cell_length_b 5.907
_cell_length_c 6.415
_cell_angle_alpha 76.91
_cell_angle_beta 75.62
_cell_angle_gamma 72.95
_symmetry_space_group_name_H-M 'P -1'
_symmetry_Int_Tables_number 2
_symmetry_space_group_name_Hall '-P 1'
loop_
_atom_site_label
_atom_site_type_symbol
_atom_site_fract_x
_atom_site_fract_y
_atom_site_fract_z
Li1 Li 0.000 0.000 0.000
Ag1 Ag 0.000 0.500 0.000
Ag2 Ag 0.198 0.802 0.603
Ag3 Ag 0.399 0.602 0.199
Au1 Au 0.196 0.297 0.603
Au2 Au 0.403 0.098 0.197
```

Largest 10 diffraction maxima, by intensity, 2θ = 5–70°:
h k l  2θ (°)  I/Imax
2 0 1  37.77  100
0 2 -1  37.63  50
1 0 -2  37.91  49
2 2 0  43.38  35
-1 2 1  43.56  33
1 0 3  44.73  31
3 2 3  64.07  31
1 1 0  21.30  26
1 4 1  62.94  11
3 0 -1  63.38  11